Os2C3: simulated PXRD pattern (Cu Kα X-rays), based on a PBE-relaxed structure.

Principal peaks in the range 10° ≤ 2θ ≤ 80°, most intense first:
index	2theta	d_spacing	intensity
1 0 2	28.7	3.106	100
2 1 2	46.5	1.952	62
2 0 0	35.8	2.509	57
1 1 4	53.0	1.728	37
3 1 4	77.1	1.238	24
2 2 0	51.5	1.774	24
3 0 2	60.1	1.540	16
3 2 2	71.9	1.313	15
4 0 0	75.8	1.254	7
1 0 6	74.4	1.275	6
2 1 4	62.6	1.484	3
1 0 4	49.5	1.840	3

Structure:
Lattice parameters (Å, degrees): 5.0176 5.0176 7.9116 90.00 90.00 90.00
Space group P-4c2 (No. 116)
Unique sites:
Os 0.0000 0.0000 0.0000 x2
Os 0.0000 0.5000 0.1051 x4
Os 0.5000 0.5000 0.2500 x2
C 0.1678 0.1678 0.2500 x4
C 0.2300 0.3399 0.9193 x8

OsC: simulated PXRD pattern (Cu Kα X-rays), based on a PBE-relaxed structure.

Principal peaks in the range 10° ≤ 2θ ≤ 80°, most intense first:
index	2theta	d_spacing	intensity
1 0 0	33.2	2.698	100
1 1 0	47.7	1.907	92
2 1 0	79.4	1.206	35
1 1 1	59.3	1.557	27
2 0 0	69.7	1.349	15

Structure:
Lattice parameters (Å, degrees): 2.6976 2.6976 2.6976 90.00 90.00 90.00
Space group Pm-3m (No. 221)
Unique sites:
Os 0.0000 0.0000 0.0000 x1
C 0.5000 0.5000 0.5000 x1

Os2C3: simulated PXRD pattern (Cu Kα X-rays), based on a PBE-relaxed structure.

Principal peaks in the range 10° ≤ 2θ ≤ 80°, most intense first:
index	2theta	d_spacing	intensity
2 2 0	29.4	3.041	100
0 2 1	29.2	3.058	69
2 2 2	46.4	1.959	65
0 0 2	35.0	2.561	59
2 4 1	54.5	1.684	52
4 0 0	35.6	2.520	52
4 0 2	50.8	1.796	43
4 2 1	46.7	1.945	41
2 4 3	77.4	1.233	24
3 1 1	34.0	2.636	14
6 2 2	71.6	1.318	14
6 4 1	78.1	1.224	14

Structure:
Lattice parameters (Å, degrees): 10.0798 7.6254 5.1211 90.00 90.00 90.00
Space group Pbcn (No. 60)
Unique sites:
Os 0.0000 0.0171 0.2500 x4
Os 0.0000 0.4246 0.7500 x4
Os 0.2335 0.1861 0.2488 x8
C 0.0752 0.2010 0.5398 x8
C 0.1179 0.3810 0.0848 x8
C 0.1882 0.0713 0.8872 x8

OsC: simulated PXRD pattern (Cu Kα X-rays), based on a PBE-relaxed structure.

Principal peaks in the range 10° ≤ 2θ ≤ 80°, most intense first:
index	2theta	d_spacing	intensity
1 0 0	35.4	2.536	100
1 0 2	48.8	1.865	91
0 0 2	32.5	2.753	39
1 1 2	73.2	1.293	24
1 1 0	63.5	1.464	22
1 0 4	79.2	1.210	21
2 0 0	74.9	1.268	12
0 0 4	68.1	1.376	6

Structure:
Lattice parameters (Å, degrees): 2.9287 2.9287 5.5054 90.00 90.00 120.00
Space group P6_3/mmc (No. 194)
Unique sites:
Os 0.0000 0.0000 0.0000 x2
C 0.3333 0.6667 0.2500 x2

PrPOs2C: simulated PXRD pattern (Cu Kα X-rays), based on a PBE-relaxed structure.

Principal peaks in the range 10° ≤ 2θ ≤ 80°, most intense first:
index	2theta	d_spacing	intensity
1 1 2	34.8	2.581	100
1 3 0	33.2	2.700	93
0 2 3	41.3	2.188	43
0 2 2	29.8	3.001	32
2 0 0	45.8	1.983	30
2 2 3	63.3	1.469	30
1 1 3	45.1	2.008	28
1 5 3	61.8	1.500	24
1 1 1	26.9	3.309	22
1 3 2	41.9	2.154	20
1 1 5	70.6	1.335	14
1 3 1	35.5	2.526	14

Structure:
Lattice parameters (Å, degrees): 3.9663 11.0589 7.1472 90.00 90.00 90.00
Space group Cmcm (No. 63)
Unique sites:
Pr 0.0000 0.0460 0.2500 x4
P 0.0000 0.2302 0.7500 x4
Os 0.0000 0.3322 0.0535 x8
C 0.0000 0.5000 0.0000 x4

SmPOs2C: simulated PXRD pattern (Cu Kα X-rays), based on a PBE-relaxed structure.

Principal peaks in the range 10° ≤ 2θ ≤ 80°, most intense first:
index	2theta	d_spacing	intensity
1 3 0	33.4	2.682	100
1 1 2	35.1	2.555	80
0 2 2	29.9	2.989	35
0 2 3	41.5	2.177	33
2 0 0	46.6	1.950	31
0 4 1	34.8	2.581	29
1 1 3	45.6	1.990	28
1 5 3	62.1	1.494	27
1 1 1	27.3	3.267	22
1 3 2	42.2	2.140	20
2 2 3	64.1	1.452	18
1 3 1	35.8	2.509	16

Structure:
Lattice parameters (Å, degrees): 3.9004 11.0833 7.1001 90.00 90.00 90.00
Space group Cmcm (No. 63)
Unique sites:
Sm 0.0000 0.0452 0.2500 x4
P 0.0000 0.2312 0.7500 x4
Os 0.0000 0.3332 0.0531 x8
C 0.0000 0.5000 0.0000 x4

USiOs2C: simulated PXRD pattern (Cu Kα X-rays), based on a PBE-relaxed structure.

Principal peaks in the range 10° ≤ 2θ ≤ 80°, most intense first:
index	2theta	d_spacing	intensity
1 1 2	35.6	2.522	100
1 3 0	33.2	2.699	71
0 4 1	34.1	2.630	33
0 2 2	30.0	2.978	32
0 2 3	41.9	2.157	27
1 5 3	61.9	1.498	25
2 0 0	47.2	1.924	24
1 1 1	27.6	3.233	22
2 2 3	64.9	1.436	15
2 4 1	59.5	1.553	14
1 1 3	46.2	1.964	12
0 6 2	55.2	1.664	12

Structure:
Lattice parameters (Å, degrees): 3.8489 11.3548 6.9948 90.00 90.00 90.00
Space group Cmcm (No. 63)
Unique sites:
U 0.0000 0.0521 0.2500 x4
Si 0.0000 0.2273 0.7500 x4
Os 0.0000 0.3354 0.0527 x8
C 0.0000 0.5000 0.0000 x4

YSiOs2C: simulated PXRD pattern (Cu Kα X-rays), based on a PBE-relaxed structure.

Principal peaks in the range 10° ≤ 2θ ≤ 80°, most intense first:
index	2theta	d_spacing	intensity
1 3 0	33.4	2.681	100
1 1 2	35.1	2.559	60
0 2 3	41.2	2.193	51
1 1 3	45.4	1.999	43
1 3 2	42.1	2.145	29
2 0 0	46.8	1.940	29
2 2 3	64.1	1.453	28
1 5 3	61.8	1.500	27
0 2 0	15.9	5.563	26
1 1 1	27.4	3.261	26
0 4 1	34.6	2.592	24
0 2 2	29.7	3.009	23

Structure:
Lattice parameters (Å, degrees): 3.8798 11.1254 7.1541 90.00 90.00 90.00
Space group Cmcm (No. 63)
Unique sites:
Y 0.0000 0.0463 0.2500 x4
Si 0.0000 0.2331 0.7500 x4
Os 0.0000 0.3346 0.0591 x8
C 0.0000 0.5000 0.0000 x4

> What is the formula in the seventh record?

USiOs2C